# Sr2CrInO6
Calculated X-ray powder pattern, CuKα. Input: a structure optimized by DFT (GGA+U).

```
Sr2CrInO6
1.0
0.000 4.024 4.024
4.024 0.000 4.024
4.024 4.024 0.000
Sr Cr In O
2 1 1 6
Direct
0.250 0.250 0.250 Sr
0.750 0.750 0.750 Sr
0.000 0.000 0.000 Cr
0.500 0.500 0.500 In
0.235 0.235 0.765 O
0.235 0.765 0.235 O
0.235 0.765 0.765 O
0.765 0.235 0.235 O
0.765 0.235 0.765 O
0.765 0.765 0.235 O
```

Largest 6 diffraction maxima, by intensity, 2θ from 15° to 90°:
two_theta  intensity
31.44  100
55.97  38
45.06  35
65.62  20
74.58  17
83.16  7

# Ti2CrIn3O6
Calculated X-ray powder pattern, CuKα. Input: a structure optimized by DFT (GGA+U).

```
Ti2CrIn3O6
1.0
2.907 -5.045 0.000
2.907 5.045 0.000
-1.918 0.000 6.133
Ti Cr In O
2 1 3 6
Direct
0.168 0.832 0.000 Ti
0.832 0.168 0.000 Ti
0.500 0.500 0.000 Cr
0.000 0.000 0.500 In
0.336 0.664 0.500 In
0.664 0.336 0.500 In
0.064 0.726 0.682 O
0.274 0.936 0.318 O
0.384 0.384 0.669 O
0.616 0.616 0.331 O
0.726 0.064 0.682 O
0.936 0.274 0.318 O
```

Largest 6 diffraction maxima, by intensity, 2θ from 15° to 90°:
two_theta  intensity
32.27  100
29.12  31
50.59  30
36.50  29
54.63  26
39.48  18

# MgCr2Ir2O12
Calculated X-ray powder pattern, CuKα. Input: a structure optimized by DFT (GGA+U).

```
MgCr2Ir2O12
1.0
5.015 0.000 0.000
-0.004 5.222 0.000
-0.036 -0.007 7.273
Mg Cr Ir O
1 2 2 12
Direct
0.000 0.000 0.000 Mg
0.481 0.075 0.746 Cr
0.981 0.561 0.253 Cr
0.484 0.071 0.258 Ir
0.975 0.570 0.742 Ir
0.102 0.541 0.504 O
0.151 0.256 0.812 O
0.157 0.247 0.188 O
0.279 0.772 0.813 O
0.290 0.775 0.186 O
0.363 0.044 0.500 O
0.609 0.100 0.999 O
0.659 0.376 0.312 O
0.661 0.386 0.689 O
0.794 0.881 0.691 O
0.797 0.883 0.305 O
0.867 0.610 0.997 O
```

Largest 6 diffraction maxima, by intensity, 2θ from 15° to 90°:
two_theta  intensity
24.61  100
24.48  50
20.94  44
34.92  33
35.05  33
21.47  21

# Zn2CrIrO6
Calculated X-ray powder pattern, CuKα. Input: a structure optimized by DFT (GGA+U).

```
Zn2CrIrO6
1.0
5.233 0.000 0.000
0.000 5.225 0.000
-5.191 0.000 7.644
Zn Cr Ir O
4 2 2 12
Direct
0.240 0.033 0.249 Zn
0.240 0.467 0.749 Zn
0.760 0.533 0.251 Zn
0.760 0.967 0.751 Zn
0.000 0.000 0.500 Cr
0.000 0.500 0.000 Cr
0.500 0.000 0.000 Ir
0.500 0.500 0.500 Ir
0.135 0.085 0.753 O
0.135 0.415 0.253 O
0.239 0.674 0.563 O
0.239 0.826 0.063 O
0.395 0.177 0.566 O
0.395 0.323 0.066 O
0.605 0.677 0.934 O
0.605 0.823 0.434 O
0.761 0.174 0.937 O
0.761 0.326 0.437 O
0.865 0.585 0.747 O
0.865 0.915 0.247 O
```

Largest 6 diffraction maxima, by intensity, 2θ from 15° to 90°:
two_theta  intensity
33.66  100
33.80  100
34.30  95
20.57  71
61.12  64
49.29  42

# KLaCr2O8
Calculated X-ray powder pattern, CuKα. Input: a structure optimized by DFT (GGA+U).

```
KLaCr2O8
1.0
8.908 0.000 0.000
0.000 7.597 0.000
-0.485 0.000 11.153
K La Cr O
4 4 8 32
Direct
0.068 0.152 0.338 K
0.068 0.348 0.838 K
0.932 0.652 0.162 K
0.932 0.848 0.662 K
0.441 0.663 0.655 La
0.441 0.837 0.155 La
0.559 0.163 0.845 La
0.559 0.337 0.345 La
0.220 0.664 0.412 Cr
0.220 0.836 0.912 Cr
0.310 0.164 0.606 Cr
0.310 0.336 0.106 Cr
0.690 0.664 0.894 Cr
0.690 0.836 0.394 Cr
0.780 0.164 0.088 Cr
0.780 0.336 0.588 Cr
0.087 0.527 0.370 O
0.087 0.973 0.870 O
0.130 0.131 0.605 O
0.130 0.369 0.105 O
0.194 0.748 0.046 O
0.194 0.752 0.546 O
0.242 0.681 0.806 O
0.242 0.819 0.306 O
0.355 0.159 0.192 O
0.355 0.341 0.692 O
0.364 0.189 0.467 O
0.364 0.311 0.967 O
0.385 0.559 0.439 O
0.385 0.941 0.939 O
0.407 0.501 0.177 O
0.407 0.999 0.677 O
0.593 0.001 0.323 O
0.593 0.499 0.823 O
0.615 0.059 0.061 O
0.615 0.441 0.561 O
0.636 0.689 0.033 O
0.636 0.811 0.533 O
0.645 0.659 0.308 O
0.645 0.841 0.808 O
0.758 0.181 0.694 O
0.758 0.319 0.194 O
0.806 0.248 0.454 O
0.806 0.252 0.954 O
0.870 0.631 0.895 O
0.870 0.869 0.395 O
0.913 0.027 0.130 O
0.913 0.473 0.630 O
```

Largest 6 diffraction maxima, by intensity, 2θ from 15° to 90°:
two_theta  intensity
26.61  100
28.72  73
25.05  58
44.73  32
42.33  29
48.17  25

# K4Li5Cr2O8
Calculated X-ray powder pattern, CuKα. Input: a structure optimized by DFT (GGA+U).

```
K4Li5Cr2O8
1.0
5.622 0.000 0.000
-0.063 8.774 0.000
-1.941 -0.086 10.706
K Li Cr O
8 10 4 16
Direct
0.000 0.000 0.000 K
0.014 0.758 0.493 K
0.187 0.497 0.766 K
0.210 0.209 0.267 K
0.459 0.770 0.027 K
0.549 0.454 0.476 K
0.683 0.012 0.296 K
0.710 0.259 0.745 K
0.030 0.981 0.702 Li
0.148 0.477 0.057 Li
0.253 0.251 0.926 Li
0.431 0.728 0.327 Li
0.446 0.017 0.826 Li
0.529 0.500 0.200 Li
0.611 0.002 0.556 Li
0.747 0.521 0.936 Li
0.937 0.460 0.332 Li
0.942 0.748 0.838 Li
0.005 0.700 0.188 Cr
0.142 0.205 0.569 Cr
0.530 0.766 0.693 Cr
0.673 0.279 0.066 Cr
0.042 0.393 0.524 O
0.199 0.877 0.225 O
0.209 0.182 0.744 O
0.213 0.535 0.255 O
0.255 0.810 0.756 O
0.416 0.171 0.513 O
0.462 0.449 0.010 O
0.507 0.779 0.528 O
0.516 0.097 0.992 O
0.683 0.597 0.757 O
0.703 0.311 0.240 O
0.729 0.925 0.760 O
0.742 0.664 0.279 O
0.929 0.049 0.531 O
0.943 0.310 0.977 O
0.983 0.683 0.006 O
```

Largest 6 diffraction maxima, by intensity, 2θ from 15° to 90°:
two_theta  intensity
33.71  100
33.48  98
34.09  68
21.75  58
26.33  56
20.24  47

# K8Li3Cr4O16
Calculated X-ray powder pattern, CuKα. Input: a structure optimized by DFT (GGA+U).

```
K8Li3Cr4O16
1.0
5.673 0.000 0.000
-0.030 8.294 0.000
-1.049 -0.238 11.071
K Li Cr O
8 3 4 16
Direct
0.000 0.000 0.000 K
0.013 0.734 0.465 K
0.067 0.224 0.345 K
0.116 0.483 0.762 K
0.486 0.973 0.507 K
0.511 0.241 0.979 K
0.583 0.760 0.812 K
0.598 0.472 0.269 K
0.010 0.764 0.208 Li
0.513 0.209 0.710 Li
0.587 0.708 0.072 Li
0.010 0.020 0.700 Cr
0.090 0.515 0.076 Cr
0.502 0.956 0.207 Cr
0.602 0.459 0.576 Cr
0.098 0.823 0.727 O
0.121 0.537 0.234 O
0.214 0.161 0.764 O
0.235 0.929 0.269 O
0.363 0.540 0.018 O
0.437 0.302 0.525 O
0.470 0.931 0.050 O
0.477 0.636 0.544 O
0.611 0.145 0.237 O
0.639 0.440 0.727 O
0.687 0.795 0.252 O
0.740 0.050 0.761 O
0.859 0.450 0.518 O
0.910 0.678 0.032 O
0.968 0.033 0.544 O
0.983 0.327 0.042 O
```

Largest 6 diffraction maxima, by intensity, 2θ from 15° to 90°:
two_theta  intensity
27.55  100
21.40  74
31.69  67
32.33  67
27.37  51
21.09  41